Entry 1:
Diffraction record for MnHg4Os. The X-ray diffraction stick pattern is theoretical, not measured: it uses a structure optimized by DFT (PBE) and λ = 1.5418 Å (Cu Kα).
Intensities are scaled so that the largest is 100.

Cell and atoms:
a = 5.5819 Å, b = 5.5819 Å, c = 5.5819 Å
α = 60.00°, β = 60.00°, γ = 60.00°
Fractional coordinates of all 6 atoms:
Mn (0.0000, 0.0000, 0.0000)
Hg (0.3752, 0.3752, 0.3752)
Hg (0.3752, 0.3752, 0.8743)
Hg (0.3752, 0.8743, 0.3752)
Hg (0.8743, 0.3752, 0.3752)
Os (0.7500, 0.7500, 0.7500)

Top 10 peaks for 2θ = 15–90°, most intense first:
37.80°, d = 2.380 Å, I = 100; 39.55°, d = 2.279 Å, I = 58; 60.99°, d = 1.519 Å, I = 33; 67.07°, d = 1.395 Å, I = 31; 19.48°, d = 4.558 Å, I = 30; 80.75°, d = 1.190 Å, I = 23; 45.99°, d = 1.973 Å, I = 14; 32.07°, d = 2.791 Å, I = 14; 79.64°, d = 1.204 Å, I = 12; 50.39°, d = 1.811 Å, I = 8

Entry 2:
Diffraction record for Mn3HgPb2S8. The X-ray diffraction stick pattern is theoretical, not measured: it uses a structure optimized by DFT (PBE) and λ = 1.5418 Å (Cu Kα).
Intensities are scaled so that the largest is 100.

Cell and atoms:
a = 7.9439 Å, b = 7.9439 Å, c = 7.9439 Å
α = 55.50°, β = 55.50°, γ = 55.50°
Fractional coordinates of all 14 atoms:
Mn (0.0018, 0.4991, 0.4991)
Mn (0.4991, 0.0018, 0.4991)
Mn (0.4991, 0.4991, 0.0018)
Hg (0.8673, 0.8673, 0.8673)
Pb (0.1267, 0.1267, 0.1267)
Pb (0.5055, 0.5055, 0.5055)
S (0.2456, 0.2456, 0.6969)
S (0.2456, 0.6969, 0.2456)
S (0.2722, 0.2722, 0.2722)
S (0.2938, 0.7610, 0.7610)
S (0.6969, 0.2456, 0.2456)
S (0.7375, 0.7375, 0.7375)
S (0.7610, 0.2938, 0.7610)
S (0.7610, 0.7610, 0.2938)

Top 10 peaks for 2θ = 15–90°, most intense first:
27.55°, d = 3.238 Å, I = 100; 24.06°, d = 3.699 Å, I = 65; 26.18°, d = 3.404 Å, I = 39; 49.27°, d = 1.849 Å, I = 33; 45.91°, d = 1.977 Å, I = 30; 44.53°, d = 2.034 Å, I = 28; 42.30°, d = 2.136 Å, I = 27; 43.64°, d = 2.074 Å, I = 25; 38.50°, d = 2.339 Å, I = 20; 22.49°, d = 3.953 Å, I = 19

Entry 3:
Diffraction record for MnHg2Pd9. The X-ray diffraction stick pattern is theoretical, not measured: it uses a structure optimized by DFT (PBE) and λ = 1.5418 Å (Cu Kα).
Intensities are scaled so that the largest is 100.

Cell and atoms:
a = 3.9940 Å, b = 3.9940 Å, c = 12.1276 Å
α = 90.00°, β = 90.00°, γ = 90.00°
Fractional coordinates of all 12 atoms:
Mn (0.0000, 0.0000, 0.0000)
Hg (0.0000, 0.0000, 0.3299)
Hg (0.0000, 0.0000, 0.6701)
Pd (0.0000, 0.5000, 0.1563)
Pd (0.0000, 0.5000, 0.5000)
Pd (0.0000, 0.5000, 0.8437)
Pd (0.5000, 0.0000, 0.1563)
Pd (0.5000, 0.0000, 0.5000)
Pd (0.5000, 0.0000, 0.8437)
Pd (0.5000, 0.5000, 0.0000)
Pd (0.5000, 0.5000, 0.3265)
Pd (0.5000, 0.5000, 0.6735)

Top 10 peaks for 2θ = 15–90°, most intense first:
38.90°, d = 2.315 Å, I = 100; 45.42°, d = 1.997 Å, I = 33; 79.51°, d = 1.206 Å, I = 24; 65.73°, d = 1.421 Å, I = 20; 44.84°, d = 2.021 Å, I = 16; 78.68°, d = 1.216 Å, I = 11; 66.18°, d = 1.412 Å, I = 10; 83.51°, d = 1.158 Å, I = 10; 23.45°, d = 3.794 Å, I = 4; 35.05°, d = 2.560 Å, I = 3

Entry 4:
Diffraction record for MnHg4Pd15. The X-ray diffraction stick pattern is theoretical, not measured: it uses a structure optimized by DFT (PBE) and λ = 1.5418 Å (Cu Kα).
Intensities are scaled so that the largest is 100.

Cell and atoms:
a = 4.0214 Å, b = 4.0214 Å, c = 20.2986 Å
α = 90.00°, β = 90.00°, γ = 90.00°
Fractional coordinates of all 20 atoms:
Mn (0.0000, 0.0000, 0.0000)
Hg (0.0000, 0.0000, 0.1958)
Hg (0.0000, 0.0000, 0.3984)
Hg (0.0000, 0.0000, 0.6016)
Hg (0.0000, 0.0000, 0.8042)
Pd (0.0000, 0.5000, 0.0931)
Pd (0.0000, 0.5000, 0.2970)
Pd (0.0000, 0.5000, 0.5000)
Pd (0.0000, 0.5000, 0.7030)
Pd (0.0000, 0.5000, 0.9069)
Pd (0.5000, 0.0000, 0.0931)
Pd (0.5000, 0.0000, 0.2970)
Pd (0.5000, 0.0000, 0.5000)
Pd (0.5000, 0.0000, 0.7030)
Pd (0.5000, 0.0000, 0.9069)
Pd (0.5000, 0.5000, 0.0000)
Pd (0.5000, 0.5000, 0.1944)
Pd (0.5000, 0.5000, 0.3986)
Pd (0.5000, 0.5000, 0.6014)
Pd (0.5000, 0.5000, 0.8056)

Top 10 peaks for 2θ = 15–90°, most intense first:
38.66°, d = 2.329 Å, I = 100; 45.09°, d = 2.011 Å, I = 33; 78.88°, d = 1.214 Å, I = 25; 65.32°, d = 1.429 Å, I = 20; 44.64°, d = 2.030 Å, I = 16; 78.23°, d = 1.222 Å, I = 11; 65.67°, d = 1.422 Å, I = 11; 82.91°, d = 1.165 Å, I = 10; 22.10°, d = 4.021 Å, I = 3; 31.31°, d = 2.857 Å, I = 3

Entry 5:
Diffraction record for MnHgPd4. The X-ray diffraction stick pattern is theoretical, not measured: it uses a structure optimized by DFT (PBE) and λ = 1.5418 Å (Cu Kα).
Intensities are scaled so that the largest is 100.

Cell and atoms:
a = 3.0650 Å, b = 3.0650 Å, c = 10.3583 Å
α = 90.00°, β = 90.00°, γ = 90.00°
Fractional coordinates of all 6 atoms:
Mn (0.0000, 0.0000, 0.0000)
Hg (0.5000, 0.5000, 0.5000)
Pd (0.0000, 0.0000, 0.3213)
Pd (0.0000, 0.0000, 0.6787)
Pd (0.5000, 0.5000, 0.1475)
Pd (0.5000, 0.5000, 0.8525)

Top 10 peaks for 2θ = 15–90°, most intense first:
39.31°, d = 2.292 Å, I = 100; 41.67°, d = 2.167 Å, I = 45; 74.48°, d = 1.274 Å, I = 30; 33.99°, d = 2.638 Å, I = 16; 69.63°, d = 1.350 Å, I = 15; 60.40°, d = 1.533 Å, I = 15; 84.54°, d = 1.146 Å, I = 9; 53.05°, d = 1.726 Å, I = 9; 61.97°, d = 1.498 Å, I = 7; 80.53°, d = 1.193 Å, I = 5

Entry 6:
Diffraction record for PmYMnHg. The X-ray diffraction stick pattern is theoretical, not measured: it uses a structure optimized by DFT (PBE) and λ = 1.5418 Å (Cu Kα).
Intensities are scaled so that the largest is 100.

Cell and atoms:
a = 5.2234 Å, b = 5.2234 Å, c = 5.2234 Å
α = 60.00°, β = 60.00°, γ = 60.00°
Fractional coordinates of all 4 atoms:
Pm (0.0000, 0.0000, 0.0000)
Y (0.5000, 0.5000, 0.5000)
Mn (0.2500, 0.2500, 0.2500)
Hg (0.7500, 0.7500, 0.7500)

Top 10 peaks for 2θ = 15–90°, most intense first:
34.34°, d = 2.612 Å, I = 100; 61.50°, d = 1.508 Å, I = 37; 20.83°, d = 4.265 Å, I = 22; 49.35°, d = 1.847 Å, I = 18; 82.61°, d = 1.168 Å, I = 16; 40.50°, d = 2.227 Å, I = 13; 72.37°, d = 1.306 Å, I = 11; 54.12°, d = 1.695 Å, I = 6; 76.26°, d = 1.249 Å, I = 4; 65.68°, d = 1.422 Å, I = 4